For LiTiNiO4, a GGA+U-relaxed structure gives the calculated powder diffractogram in this record (Cu Kα X-rays).

Main lines, in order of rising 2θ (10° ≤ 2θ ≤ 90°):
- 18.45°, rel. 100
- 34.62°, rel. 19
- 35.96°, rel. 15
- 36.62°, rel. 15
- 37.39°, rel. 10
- 41.54°, rel. 22
- 43.82°, rel. 18
- 44.92°, rel. 17
- 62.84°, rel. 11
- 64.56°, rel. 11

Crystal structure
Cell lengths 5.7755, 5.7755, 5.9888 Å; angles 119.47, 119.47, 88.65 degrees
Fractional positions:
Li 0.1195 0.8805 0.7500
Li 0.8805 0.1195 0.2500
Ti 0.5000 0.5000 0.0000
Ti 0.5000 0.5000 0.5000
Ni 0.0000 0.5000 0.0000
Ni 0.5000 0.0000 0.5000
O 0.2474 0.7253 0.0082
O 0.2672 0.2898 0.0364
O 0.2747 0.7526 0.4918
O 0.2898 0.2672 0.5364
O 0.7102 0.7328 0.4636
O 0.7253 0.2474 0.5082
O 0.7328 0.7102 0.9636
O 0.7526 0.2747 0.9918